Starting from a DFT-relaxed cell (PBE, Alexandria), the powder diffractogram of Tb3Pr3TmS8 was computed for Cu Kα (λ = 1.5418 Å).
Peak positions follow from Bragg's law for the DFT cell and can differ from measured ones.

Atomic structure:
a = 8.054 Å, b = 8.054 Å, c = 8.054 Å
α = 59.15°, β = 59.15°, γ = 59.15°
Fractional coordinates of all 15 atoms:
Tb 0.000 0.500 0.500
Tb 0.500 0.000 0.500
Tb 0.500 0.500 0.000
Pr 0.000 0.000 0.500
Pr 0.000 0.500 0.000
Pr 0.500 0.000 0.000
Tm 0.000 0.000 0.000
S 0.242 0.242 0.747
S 0.242 0.747 0.242
S 0.253 0.758 0.758
S 0.255 0.255 0.255
S 0.745 0.745 0.745
S 0.747 0.242 0.242
S 0.758 0.253 0.758
S 0.758 0.758 0.253

Principal peaks in the range 2θ = 10–80°, sorted by position:
| 2theta | I_rel |
| --- | --- |
| 26.95 | 18 |
| 27.42 | 51 |
| 31.63 | 100 |
| 45.03 | 36 |
| 45.65 | 36 |
| 53.81 | 17 |
| 56.60 | 18 |
| 66.06 | 11 |
| 74.64 | 16 |
| 75.55 | 16 |